[1]
# Tm2Ni3B6
Computed XRD peak list, Cu Kα X-rays. Input: a cell relaxed with PBE.
Peak positions follow from Bragg's law for the DFT cell and can differ from measured ones.

Most intense lines, 2θ from 15° to 90°, in order of rising 2θ:
23.17°, intensity 24, (2 0 0)
25.81°, intensity 38, (0 0 1)
31.20°, intensity 51, (2 2 0)
33.26°, intensity 40, (0 2 1)
40.92°, intensity 100, (2 2 1)
41.91°, intensity 17, (0 4 0)
47.36°, intensity 17, (4 0 0)
49.87°, intensity 12, (0 4 1)
53.06°, intensity 14, (0 0 2)
54.72°, intensity 11, (4 0 1)
62.84°, intensity 14, (2 2 2)
71.39°, intensity 10, (3 5 1)

Cell: 7.678 8.623 3.452 Å, 90.00 90.00 90.00°
Space group Cmmm (No. 65)
One atom of each set of equivalent atoms:
Tm  0.000  0.223  0.000 x4
Ni  0.000  0.500  0.500 x2
Ni  0.227  0.500  0.000 x4
B  0.113  0.000  0.500 x4
B  0.234  0.350  0.500 x8

[2]
# Tm3Ni7B2
Computed XRD peak list, Cu Kα X-rays. Input: a cell relaxed with PBE.
Peak positions follow from Bragg's law for the DFT cell and can differ from measured ones.

Most intense lines, 2θ from 15° to 90°, in order of rising 2θ:
21.34°, intensity 19, (1 0 1)
32.49°, intensity 21, (1 0 4)
35.71°, intensity 48, (1 1 0)
37.75°, intensity 100, (1 0 5)
37.95°, intensity 26, (0 0 6)
41.47°, intensity 22, (2 0 0)
41.98°, intensity 66, (2 0 1)
44.10°, intensity 89, (1 1 4)
65.52°, intensity 45, (0 0 10)
70.00°, intensity 22, (3 0 4)
74.09°, intensity 29, (2 0 9)
75.65°, intensity 24, (2 2 0)

Cell: 5.0283 5.0283 14.2346 Å, 90.00 90.00 120.00°
Space group P6_3/mmc (No. 194)
One atom of each set of equivalent atoms:
Tm  0.3333  0.6667  0.0324 x4
Tm  0.3333  0.6667  0.2500 x2
Ni  0.0000  0.0000  0.0000 x2
Ni  0.1658  0.3316  0.6481 x12
B  0.0000  0.0000  0.2500 x2
B  0.3333  0.6667  0.7500 x2

[3]
# Tm4NiB13
Computed XRD peak list, Cu Kα X-rays. Input: a cell relaxed with PBE.
Peak positions follow from Bragg's law for the DFT cell and can differ from measured ones.

Most intense lines, 2θ from 15° to 90°, in order of rising 2θ:
24.57°, intensity 40, (2 0 0)
26.27°, intensity 59, (0 0 2)
27.53°, intensity 98, (2 1 0)
36.28°, intensity 39, (2 0 2)
38.42°, intensity 100, (2 1 2)
39.32°, intensity 21, (3 1 0)
44.31°, intensity 22, (2 2 2)
47.91°, intensity 28, (3 1 2)
52.04°, intensity 37, (4 1 0)
59.21°, intensity 40, (4 1 2)
61.73°, intensity 21, (2 1 4)
78.35°, intensity 23, (4 1 4)

Cell: 7.246 7.246 6.785 Å, 90.00 90.00 90.00°
Space group P4/mnc (No. 128)
One atom of each set of equivalent atoms:
Tm  0.180  0.315  0.000 x8
Ni  0.000  0.000  0.500 x2
B  0.000  0.000  0.000 x2
B  0.040  0.829  0.243 x16
B  0.091  0.591  0.250 x8